The following is a computed powder X-ray diffraction pattern of MnSb2Te. It was derived from the GGA-PBE geometry in Alexandria, using Cu Ka.

Main lines, low angle first (2θ = 10–80°):
(1 0 1), 24.7 deg, I 41
(0 1 3), 29.0 deg, I 78
(1 0 3), 32.0 deg, I 21
(1 1 2), 34.0 deg, I 100
(0 2 0), 39.4 deg, I 32
(1 1 4), 42.4 deg, I 46
(0 0 6), 43.3 deg, I 35
(1 2 1), 47.1 deg, I 15
(2 0 0), 48.4 deg, I 17
(2 1 3), 57.4 deg, I 23
(0 2 6), 60.0 deg, I 26
(1 1 8), 68.0 deg, I 26

Atomic structure:
a b c (Å): 3.7599 4.5728 12.5315
angles (deg): 90.00 90.00 90.00
Space group Imm2 (No. 44)
Symmetry-distinct sites (fractional):
Mn1 0.0000 0.0000 0.0000 [2 per cell]
Sb1 0.0000 0.0000 0.5154 [2 per cell]
Sb2 0.0000 0.5000 0.6755 [2 per cell]
Te1 0.0000 0.5000 0.3372 [2 per cell]